Starting from the PBE+U geometry in Alexandria, the powder XRD pattern of AcFe2OsO8 was simulated for Cu Kα (λ = 1.5418 Å).
Lines closer than 0.1° are merged.

Principal peaks in the range 10 to 90 degrees two-theta, in order of rising 2θ:
18.3 deg, rel. 62.6; 23.8 deg, rel. 62.9; 25.5 deg, rel. 17.1; 28.1 deg, rel. 40.2; 31.6 deg, rel. 100.0; 37.2 deg, rel. 23.5; 38.3 deg, rel. 21.4; 47.0 deg, rel. 38.9; 51.9 deg, rel. 29.3; 63.5 deg, rel. 17.8

Cell and atoms:
Lattice parameters (Å, degrees): 4.902 4.902 6.994 90.00 90.00 99.19
Element x y z (fractional)
Ac 0.000 0.000 0.000
Fe 0.500 0.500 0.216
Fe 0.500 0.500 0.784
Os 0.000 0.000 0.500
O 0.215 0.215 0.299
O 0.215 0.215 0.701
O 0.240 0.760 0.500
O 0.331 0.669 0.000
O 0.669 0.331 0.000
O 0.760 0.240 0.500
O 0.785 0.785 0.299
O 0.785 0.785 0.701